# V6Re2Mo
Computed powder diffractogram, Cu Kα (λ = 1.5418 Å). Input: a DFT-relaxed cell (GGA-PBE, Alexandria).
Kinematic intensities with the Lorentz-polarization factor, no thermal factor.

Atomic structure:
Cell lengths 4.301, 4.301, 7.857 Å; angles 90.00, 90.00, 120.00 degrees
Element x y z (fractional)
1 V 0.000 0.000 0.169
2 V 0.000 0.000 0.831
3 V 0.333 0.667 0.275
4 V 0.333 0.667 0.613
5 V 0.667 0.333 0.387
6 V 0.667 0.333 0.725
7 Re 0.333 0.667 0.943
8 Re 0.667 0.333 0.057
9 Mo 0.000 0.000 0.500

Largest 8 diffraction maxima, in order of rising 2θ, 10° ≤ 2θ ≤ 90°:
| (hkl) | two_theta | I (rel.) |
| --- | --- | --- |
| 0 0 1 | 11.26 | 52 |
| 0 0 2 | 22.63 | 16 |
| 0 1 1 | 26.48 | 43 |
| 0 1 2 | 33.14 | 17 |
| 1 1 0 | 42.01 | 100 |
| 0 1 3 | 42.18 | 100 |
| 2 0 3 | 61.05 | 32 |
| 1 2 3 | 76.88 | 32 |